1.
For BeNi2Pt, a DFT-relaxed cell (PBE, Alexandria) gives the calculated powder diffraction line list in this record (Cu Kα, 1.54184 Å).
No peak broadening, texture or thermal motion is included.

Top 10 peaks for 10° ≤ 2θ ≤ 90°, by angle:
- 26.41 deg, I = 31
- 27.50 deg, I = 62
- 34.28 deg, I = 32
- 43.79 deg, I = 100
- 47.29 deg, I = 15
- 49.27 deg, I = 35
- 56.76 deg, I = 15
- 57.35 deg, I = 17
- 76.40 deg, I = 19
- 88.46 deg, I = 26

Cell and atoms:
```
BeNi2Pt
1.0
-1.850 1.850 3.375
1.850 -1.850 3.375
1.850 1.850 -3.375
Be Ni Pt
1 2 1
direct
0.000 0.000 0.000 Be
0.250 0.750 0.500 Ni
0.500 0.500 0.000 Ni
0.750 0.250 0.500 Pt
```

---

2.
For Pr12Sm6Tm, a DFT-relaxed cell (PBE, Alexandria) gives the calculated powder diffraction line list in this record (Cu Kα, 1.54184 Å).
No peak broadening, texture or thermal motion is included.

Top 10 peaks for 10° ≤ 2θ ≤ 90°, by angle:
- 24.66 deg, I = 38
- 26.30 deg, I = 100
- 26.95 deg, I = 60
- 30.50 deg, I = 66
- 32.41 deg, I = 35
- 32.52 deg, I = 81
- 32.74 deg, I = 55
- 32.95 deg, I = 73
- 37.64 deg, I = 32
- 54.56 deg, I = 36

Cell and atoms:
```
Pr12Sm6Tm
1.0
8.261 4.770 2.899
-8.261 4.770 2.899
0.000 -9.539 2.899
Pr Sm Tm
12 6 1
direct
0.000 0.380 0.620 Pr
0.000 0.620 0.380 Pr
0.227 0.227 0.585 Pr
0.227 0.585 0.227 Pr
0.380 0.000 0.620 Pr
0.380 0.620 0.000 Pr
0.415 0.773 0.773 Pr
0.585 0.227 0.227 Pr
0.620 0.000 0.380 Pr
0.620 0.380 0.000 Pr
0.773 0.415 0.773 Pr
0.773 0.773 0.415 Pr
0.021 0.772 0.772 Sm
0.228 0.228 0.979 Sm
0.228 0.979 0.228 Sm
0.772 0.021 0.772 Sm
0.772 0.772 0.021 Sm
0.979 0.228 0.228 Sm
0.500 0.500 0.500 Tm
```

---

3.
For La5As, a DFT-relaxed cell (PBE, Alexandria) gives the calculated powder diffraction line list in this record (Cu Kα, 1.54184 Å).
No peak broadening, texture or thermal motion is included.

Top 10 peaks for 10° ≤ 2θ ≤ 90°, by angle:
- 26.66 deg, I = 27
- 30.71 deg, I = 100
- 32.69 deg, I = 60
- 33.85 deg, I = 14
- 46.91 deg, I = 22
- 47.78 deg, I = 21
- 57.12 deg, I = 34
- 59.10 deg, I = 11
- 60.87 deg, I = 12
- 80.22 deg, I = 11

Cell and atoms:
```
La5As
1.0
3.874 0.000 0.000
0.000 3.874 0.000
0.000 0.000 13.239
La As
5 1
direct
0.000 0.000 0.000 La
0.000 0.000 0.379 La
0.000 0.000 0.621 La
0.500 0.500 0.191 La
0.500 0.500 0.809 La
0.500 0.500 0.500 As
```

---

4.
For BaZn2Br6, a DFT-relaxed cell (PBE, Alexandria) gives the calculated powder diffraction line list in this record (Cu Kα, 1.54184 Å).
No peak broadening, texture or thermal motion is included.

Top 10 peaks for 10° ≤ 2θ ≤ 90°, by angle:
- 20.36 deg, I = 99
- 20.49 deg, I = 56
- 25.06 deg, I = 100
- 25.66 deg, I = 72
- 28.47 deg, I = 88
- 29.15 deg, I = 68
- 31.28 deg, I = 48
- 31.79 deg, I = 45
- 42.85 deg, I = 86
- 47.27 deg, I = 45

Cell and atoms:
```
BaZn2Br6
1.0
7.109 -6.803 0.000
7.109 6.803 0.000
-1.698 0.000 6.992
Ba Zn Br
2 4 12
direct
0.138 0.862 0.750 Ba
0.862 0.138 0.250 Ba
0.229 0.371 0.740 Zn
0.371 0.229 0.240 Zn
0.629 0.771 0.760 Zn
0.771 0.629 0.260 Zn
0.050 0.191 0.675 Br
0.152 0.582 0.917 Br
0.191 0.050 0.175 Br
0.275 0.428 0.437 Br
0.418 0.848 0.583 Br
0.428 0.275 0.937 Br
0.572 0.725 0.063 Br
0.582 0.152 0.417 Br
0.725 0.572 0.563 Br
0.809 0.950 0.825 Br
0.848 0.418 0.083 Br
0.950 0.809 0.325 Br
```

---

5.
For NdBIr, a DFT-relaxed cell (PBE, Alexandria) gives the calculated powder diffraction line list in this record (Cu Kα, 1.54184 Å).
No peak broadening, texture or thermal motion is included.

Top 10 peaks for 10° ≤ 2θ ≤ 90°, by angle:
- 27.89 deg, I = 27
- 34.31 deg, I = 100
- 39.78 deg, I = 16
- 49.32 deg, I = 37
- 61.48 deg, I = 19
- 65.16 deg, I = 22
- 68.72 deg, I = 14
- 72.31 deg, I = 4
- 82.59 deg, I = 17
- 89.17 deg, I = 7

Cell and atoms:
```
NdBIr
1.0
3.694 0.000 0.000
-1.847 3.199 0.000
0.000 0.000 4.532
Nd B Ir
1 1 1
direct
0.000 0.000 0.000 Nd
0.667 0.333 0.500 B
0.333 0.667 0.500 Ir
```

---

6.
For AcSbPt, a DFT-relaxed cell (PBE, Alexandria) gives the calculated powder diffraction line list in this record (Cu Kα, 1.54184 Å).
No peak broadening, texture or thermal motion is included.

Top 10 peaks for 10° ≤ 2θ ≤ 90°, by angle:
- 14.82 deg, I = 100
- 28.52 deg, I = 61
- 31.65 deg, I = 54
- 32.06 deg, I = 61
- 32.82 deg, I = 78
- 33.75 deg, I = 45
- 34.26 deg, I = 36
- 35.76 deg, I = 45
- 39.18 deg, I = 69
- 40.60 deg, I = 63

Cell and atoms:
```
AcSbPt
1.0
4.486 0.000 0.000
-1.597 5.987 0.000
-0.614 -0.390 6.714
Ac Sb Pt
2 2 2
direct
0.000 0.000 0.000 Ac
0.229 0.493 0.506 Ac
0.340 0.574 0.008 Sb
0.580 0.047 0.536 Sb
0.622 0.291 0.219 Pt
0.742 0.381 0.826 Pt
```

---

7.
For Ac3Se3Cl, a DFT-relaxed cell (PBE, Alexandria) gives the calculated powder diffraction line list in this record (Cu Kα, 1.54184 Å).
No peak broadening, texture or thermal motion is included.

Top 10 peaks for 10° ≤ 2θ ≤ 90°, by angle:
- 16.50 deg, I = 43
- 16.79 deg, I = 19
- 23.62 deg, I = 39
- 33.35 deg, I = 100
- 33.95 deg, I = 95
- 48.33 deg, I = 36
- 59.60 deg, I = 19
- 59.99 deg, I = 37
- 61.13 deg, I = 18
- 80.16 deg, I = 17

Cell and atoms:
```
Ac3Se3Cl
1.0
5.374 3.102 2.138
-5.374 3.102 2.138
0.000 -6.205 2.138
Ac Se Cl
3 3 1
direct
0.000 0.500 0.500 Ac
0.500 0.000 0.500 Ac
0.500 0.500 0.000 Ac
0.000 0.000 0.500 Se
0.000 0.500 0.000 Se
0.500 0.000 0.000 Se
0.500 0.500 0.500 Cl
```

---

8.
For HfB2, a DFT-relaxed cell (PBE, Alexandria) gives the calculated powder diffraction line list in this record (Cu Kα, 1.54184 Å).
No peak broadening, texture or thermal motion is included.

Top 10 peaks for 10° ≤ 2θ ≤ 90°, by angle:
- 25.54 deg, I = 46
- 32.88 deg, I = 82
- 42.09 deg, I = 100
- 52.47 deg, I = 9
- 58.71 deg, I = 20
- 63.32 deg, I = 26
- 65.06 deg, I = 22
- 68.95 deg, I = 10
- 74.84 deg, I = 18
- 82.61 deg, I = 15

Cell and atoms:
```
HfB2
1.0
3.145 0.000 0.000
-1.573 2.724 0.000
0.000 0.000 3.488
Hf B
1 2
direct
0.000 0.000 0.000 Hf
0.333 0.667 0.500 B
0.667 0.333 0.500 B
```